Starting from DFT lattice parameters and positions (GGA-PBE), the X-ray powder pattern of TeI3 was computed for λ = 1.5418 Å (Cu Kα).
Neutral-atom scattering factors, no anomalous dispersion.

The 12 most intense peaks (2θ = 5–70°), low angle first:
2theta, I_rel
13.55, 34
21.31, 47
27.59, 16
29.78, 100
31.91, 20
33.34, 14
34.08, 12
40.27, 20
43.01, 11
44.60, 11
46.86, 10
49.93, 16

Structural model:
```
TeI3
1.0
4.0630 0.0000 0.0000
0.0000 10.5219 0.0000
0.0000 0.0000 8.3388
Te I
2 6
Direct
0.0000 0.0000 0.0000 Te
0.5000 0.5000 0.5000 Te
0.0000 0.2953 0.4308 I
0.0000 0.5000 0.8444 I
0.0000 0.7047 0.4308 I
0.5000 0.0000 0.3444 I
0.5000 0.2047 0.9308 I
0.5000 0.7953 0.9308 I
```

Starting from DFT lattice parameters and positions (GGA-PBE), the X-ray powder pattern of P4Se5I2 was computed for λ = 1.5418 Å (Cu Kα).
Neutral-atom scattering factors, no anomalous dispersion.

The 12 most intense peaks (2θ = 5–70°), low angle first:
2theta, I_rel
12.44, 35
17.37, 43
20.70, 66
21.82, 42
22.00, 41
22.54, 92
24.50, 100
25.01, 58
31.29, 36
35.10, 38
39.03, 33
42.05, 34

Structural model:
```
P4Se5I2
1.0
5.9100 0.0000 0.0000
-1.5810 8.0828 0.0000
-0.8313 -3.8370 7.8879
P Se I
4 5 2
Direct
0.0250 0.1395 0.0156 P
0.1147 0.8191 0.7377 P
0.8853 0.1809 0.2623 P
0.9750 0.8605 0.9844 P
0.0000 0.5000 0.5000 Se
0.1810 0.9876 0.2683 Se
0.3669 0.0494 0.7309 Se
0.6331 0.9506 0.2691 Se
0.8190 0.0124 0.7317 Se
0.3536 0.5481 0.7614 I
0.6464 0.4519 0.2386 I
```

Starting from DFT lattice parameters and positions (GGA-PBE), the X-ray powder pattern of Dy8YHo3 was computed for λ = 1.5418 Å (Cu Kα).
Neutral-atom scattering factors, no anomalous dispersion.

The 12 most intense peaks (2θ = 5–70°), low angle first:
2theta, I_rel
12.91, 1
20.06, 23
23.20, 17
33.04, 100
38.96, 12
40.77, 5
47.43, 18
51.99, 5
53.44, 7
59.02, 38
62.99, 4
69.33, 12

Structural model:
```
Dy8YHo3
1.0
-3.8322 3.8322 7.6737
3.8322 -3.8322 7.6737
3.8322 3.8322 -7.6737
Dy Y Ho
8 1 3
Direct
0.1231 0.1231 0.4975 Dy
0.1231 0.6256 0.0000 Dy
0.3744 0.3744 0.4975 Dy
0.3744 0.8769 0.0000 Dy
0.6256 0.1231 0.0000 Dy
0.6256 0.6256 0.5025 Dy
0.8769 0.3744 0.0000 Dy
0.8769 0.8769 0.5025 Dy
0.5000 0.5000 0.0000 Y
0.0000 0.0000 0.0000 Ho
0.2500 0.7500 0.5000 Ho
0.7500 0.2500 0.5000 Ho
```

Starting from DFT lattice parameters and positions (GGA-PBE), the X-ray powder pattern of CeEr2In was computed for λ = 1.5418 Å (Cu Kα).
Neutral-atom scattering factors, no anomalous dispersion.

The 12 most intense peaks (2θ = 5–70°), low angle first:
2theta, I_rel
25.35, 1
27.22, 2
29.52, 2
32.22, 100
36.16, 38
39.72, 13
47.34, 2
52.06, 13
54.79, 20
57.10, 2
62.56, 30
67.40, 20

Structural model:
```
CeEr2In
1.0
3.5134 0.0000 0.0000
0.0000 3.5134 0.0000
0.0000 0.0000 9.0778
Ce Er In
1 2 1
Direct
0.0000 0.0000 0.0000 Ce
0.5000 0.5000 0.2675 Er
0.5000 0.5000 0.7325 Er
0.0000 0.0000 0.5000 In
```

Starting from DFT lattice parameters and positions (GGA-PBE), the X-ray powder pattern of Tb2GaSi3 was computed for λ = 1.5418 Å (Cu Kα).
Neutral-atom scattering factors, no anomalous dispersion.

The 12 most intense peaks (2θ = 5–70°), low angle first:
2theta, I_rel
22.71, 18
25.72, 17
28.71, 35
29.20, 14
33.21, 100
38.92, 15
39.30, 28
43.03, 17
44.39, 16
50.99, 12
53.73, 12
59.68, 16

Structural model:
```
Tb2GaSi3
1.0
4.0814 0.0000 0.0000
0.0000 4.2041 0.0000
0.0000 0.0000 13.8572
Tb Ga Si
4 2 6
Direct
0.0000 0.0000 0.0000 Tb
0.0000 0.5000 0.2408 Tb
0.5000 0.0000 0.7408 Tb
0.5000 0.5000 0.5000 Tb
0.0000 0.0000 0.4126 Ga
0.5000 0.5000 0.9126 Ga
0.0000 0.0000 0.5830 Si
0.0000 0.5000 0.6583 Si
0.0000 0.5000 0.8249 Si
0.5000 0.0000 0.1583 Si
0.5000 0.0000 0.3249 Si
0.5000 0.5000 0.0830 Si
```

Please write out number 4 again, unchanged.
Starting from DFT lattice parameters and positions (GGA-PBE), the X-ray powder pattern of CeEr2In was computed for λ = 1.5418 Å (Cu Kα).
Neutral-atom scattering factors, no anomalous dispersion.

The 12 most intense peaks (2θ = 5–70°), low angle first:
2theta, I_rel
25.35, 1
27.22, 2
29.52, 2
32.22, 100
36.16, 38
39.72, 13
47.34, 2
52.06, 13
54.79, 20
57.10, 2
62.56, 30
67.40, 20

Structural model:
```
CeEr2In
1.0
3.5134 0.0000 0.0000
0.0000 3.5134 0.0000
0.0000 0.0000 9.0778
Ce Er In
1 2 1
Direct
0.0000 0.0000 0.0000 Ce
0.5000 0.5000 0.2675 Er
0.5000 0.5000 0.7325 Er
0.0000 0.0000 0.5000 In
```